Diffraction record for K3Sn2S3ClO12. The powder X-ray diffraction pattern is theoretical, not measured: it uses DFT lattice parameters and positions (GGA-PBE) and Cu Ka.
Intensities are scaled so that the largest is 100.

The 10 most intense peaks (10 to 90 degrees two-theta), in order of rising 2θ:
Position (°2θ), intensity, h k l
15.20, 53, 1 1 -1
23.05, 69, 0 2 0
28.34, 44, 1 1 2
28.57, 30, 1 1 -3
28.69, 56, 1 2 1
28.84, 82, 3 1 -1
28.98, 100, 3 1 -2
29.43, 34, 0 0 3
30.15, 29, 3 0 -3
41.95, 28, 2 2 -4

Structure:
Cell: 10.2791 7.7168 10.3878 Å, 90.00 118.78 90.00°
Space group P2_1 (No. 4)
One atom of each set of equivalent atoms:
K (0.0077, 0.0000, 0.2485) x2
K (0.3176, 0.2621, 0.6655) x2
K (0.3268, 0.7759, 0.6587) x2
Sn (0.2336, 0.4651, 0.2530) x2
Sn (0.2753, 0.9764, 0.0129) x2
S (0.0425, 0.5110, 0.4021) x2
S (0.3934, 0.5371, 0.9804) x2
S (0.4038, 0.0300, 0.3706) x2
Cl (0.0024, 0.2933, 0.0262) x2
O (0.0916, 0.6628, 0.3464) x2
O (0.1027, 0.5209, 0.5628) x2
O (0.1139, 0.3527, 0.3693) x2
O (0.1205, 0.9929, 0.6753) x2
O (0.2832, 0.3975, 0.9386) x2
O (0.3132, 0.7105, 0.9412) x2
O (0.3259, 0.0128, 0.4570) x2
O (0.3493, 0.8920, 0.2509) x2
O (0.3700, 0.2032, 0.2925) x2
O (0.4328, 0.5117, 0.5381) x2
O (0.4694, 0.5230, 0.8857) x2
O (0.4939, 0.0324, 0.8633) x2



Diffraction record for K3Sn2S3ClO3. The powder X-ray diffraction pattern is theoretical, not measured: it uses DFT lattice parameters and positions (GGA-PBE) and Cu Ka.
Intensities are scaled so that the largest is 100.

The 10 most intense peaks (10 to 90 degrees two-theta), in order of rising 2θ:
Position (°2θ), intensity, h k l
10.48, 48, 1 0 -1
16.21, 40, 1 1 0
16.32, 89, 1 1 -1
27.21, 57, 1 0 2
30.15, 34, 2 1 1
30.59, 75, 2 1 -3
30.91, 74, 1 2 1
31.05, 100, 0 0 3
31.18, 63, 2 2 -1
31.36, 40, 3 0 0

Structure:
Cell: 9.7571 7.0940 9.8597 Å, 90.00 118.72 90.00°
Space group P2_1 (No. 4)
One atom of each set of equivalent atoms:
K (0.1453, 0.0000, 0.3594) x2
K (0.2399, 0.2906, 0.9872) x2
K (0.2563, 0.8005, 0.7537) x2
Sn (0.1813, 0.5052, 0.3101) x2
Sn (0.4741, 0.7933, 0.2811) x2
S (0.0385, 0.8264, 0.9175) x2
S (0.1440, 0.3782, 0.5398) x2
S (0.4386, 0.2893, 0.3919) x2
Cl (0.4970, 0.4988, 0.9456) x2
O (0.0990, 0.6338, 0.8764) x2
O (0.2784, 0.2091, 0.6313) x2
O (0.3886, 0.0752, 0.3179) x2